[1]
# LiZnAu
Theoretical powder diffractogram, Cu Kα X-rays. Input: a GGA-PBE-relaxed structure.

Structure:
a b c (Å): 4.3912 4.3912 5.4677
angles (deg): 90.00 90.00 120.00
Space group P3m1 (No. 156)
One atom of each set of equivalent atoms:
Li 0.0000 0.0000 0.0000 (multiplicity 1)
Li 0.3333 0.6667 0.1769 (multiplicity 1)
Zn 0.0000 0.0000 0.4986 (multiplicity 1)
Zn 0.6667 0.3333 0.8349 (multiplicity 1)
Au 0.3333 0.6667 0.6873 (multiplicity 1)
Au 0.6667 0.3333 0.3154 (multiplicity 1)

The 8 most intense peaks (10 to 80 degrees two-theta), in order of rising 2θ:
(hkl)  two_theta  d_spacing  Rel. int.
0 0 1  16.21  5.468  34
1 0 0  23.39  3.803  34
0 1 1  28.59  3.122  100
0 1 2  40.64  2.220  86
1 1 0  41.11  2.196  85
2 0 1  50.84  1.796  21
2 0 2  59.19  1.561  28
1 2 2  74.60  1.272  29

[2]
# LiZn3Au4
Theoretical powder diffractogram, Cu Kα X-rays. Input: a GGA-PBE-relaxed structure.

Structure:
a b c (Å): 13.2532 4.5004 4.5197
angles (deg): 90.00 109.73 90.00
Space group C2/m (No. 12)
One atom of each set of equivalent atoms:
Li 0.0000 0.0000 0.0000 (multiplicity 2)
Zn 0.0000 0.5000 0.5000 (multiplicity 2)
Zn 0.2492 0.0000 0.2480 (multiplicity 4)
Au 0.1238 0.0000 0.6229 (multiplicity 4)
Au 0.1241 0.5000 0.1243 (multiplicity 4)

The 8 most intense peaks (10 to 80 degrees two-theta), in order of rising 2θ:
(hkl)  two_theta  d_spacing  Rel. int.
1 1 -1  27.98  3.189  83
4 0 0  28.62  3.119  39
2 0 -2  39.89  2.260  52
0 2 0  40.07  2.250  51
3 1 1  40.40  2.233  100
5 1 -1  40.51  2.227  99
2 2 -2  57.83  1.595  35
3 3 1  72.97  1.296  35

[3]
# LuMgAuO3
Theoretical powder diffractogram, Cu Kα X-rays. Input: a GGA-PBE-relaxed structure.

Structure:
a b c (Å): 3.4692 6.3030 8.6421
angles (deg): 90.78 90.00 105.86
Space group P1 (No. 1)
One atom of each set of equivalent atoms:
Lu 0.0000 0.0000 0.0000 (multiplicity 1)
Lu 0.0417 0.0800 0.5027 (multiplicity 1)
Mg 0.3802 0.6775 0.6630 (multiplicity 1)
Mg 0.7348 0.3987 0.1713 (multiplicity 1)
Au 0.3781 0.7447 0.2143 (multiplicity 1)
Au 0.6725 0.3372 0.7211 (multiplicity 1)
O 0.0253 0.1785 0.2529 (multiplicity 1)
O 0.0702 0.7462 0.8432 (multiplicity 1)
O 0.3540 0.3387 0.3504 (multiplicity 1)
O 0.4310 0.8796 0.4907 (multiplicity 1)
O 0.5888 0.2001 0.9927 (multiplicity 1)
O 0.8899 0.9013 0.7491 (multiplicity 1)

The 8 most intense peaks (10 to 80 degrees two-theta), in order of rising 2θ:
(hkl)  two_theta  d_spacing  Rel. int.
0 1 0  14.61  6.062  24
0 1 -1  17.75  4.996  28
0 1 1  17.99  4.930  27
0 1 -2  25.14  3.542  27
0 1 2  25.48  3.495  29
1 0 -1  28.67  3.114  24
1 -1 2  33.89  2.645  36
1 1 0  34.05  2.633  100